# 1
# NaCo2P3O10
Calculated PXRD pattern, Cu Kα, 1.54184 Å. Input: a DFT-relaxed cell (GGA+U, the Materials Project).
Intensities are scaled so that the largest is 100.

Principal peaks in the range 2θ = 10–90°, sorted by position:
Position (°2θ)	I/Imax
24.78	21
28.09	100
31.04	34
33.14	46
36.37	24
43.18	26

a = 4.730 Å, b = 8.638 Å, c = 9.116 Å
α = 90.00°, β = 97.66°, γ = 90.00°
Fractional positions:
Na 0.000 0.000 0.000
Na 0.000 0.500 0.000
Co 0.045 0.071 0.341
Co 0.045 0.429 0.341
Co 0.955 0.571 0.659
Co 0.955 0.929 0.659
P 0.334 0.250 0.817
P 0.390 0.750 0.460
P 0.473 0.250 0.151
P 0.527 0.750 0.849
P 0.610 0.250 0.540
P 0.666 0.750 0.183
O 0.166 0.101 0.801
O 0.166 0.399 0.801
O 0.220 0.750 0.766
O 0.224 0.601 0.485
O 0.224 0.899 0.485
O 0.309 0.250 0.453
O 0.311 0.102 0.174
O 0.311 0.398 0.174
O 0.420 0.750 0.286
O 0.463 0.750 0.024
O 0.537 0.250 0.976
O 0.580 0.250 0.714
O 0.689 0.602 0.826
O 0.689 0.898 0.826
O 0.691 0.750 0.547
O 0.776 0.101 0.515
O 0.776 0.399 0.515
O 0.780 0.250 0.234
O 0.834 0.601 0.199
O 0.834 0.899 0.199

# 2
# Li4Mn3Nb3Sb2O16
Calculated PXRD pattern, Cu Kα, 1.54184 Å. Input: a DFT-relaxed cell (GGA+U, the Materials Project).
Intensities are scaled so that the largest is 100.

Principal peaks in the range 2θ = 10–90°, sorted by position:
Position (°2θ)	I/Imax
16.80	100
18.05	94
18.42	75
18.57	66
30.06	56
30.34	62

a = 6.157 Å, b = 6.325 Å, c = 10.553 Å
α = 89.74°, β = 89.66°, γ = 61.50°
Fractional positions:
Li 0.000 0.000 0.000
Li 0.007 0.989 0.483
Li 0.361 0.295 0.391
Li 0.684 0.651 0.886
Mn 0.177 0.660 0.703
Mn 0.346 0.827 0.214
Mn 0.842 0.821 0.214
Nb 0.172 0.167 0.714
Nb 0.669 0.167 0.715
Nb 0.830 0.340 0.230
Sb 0.326 0.343 0.021
Sb 0.657 0.700 0.495
O 0.003 0.000 0.814
O 0.006 0.450 0.333
O 0.024 0.459 0.805
O 0.147 0.681 0.105
O 0.161 0.164 0.102
O 0.316 0.865 0.588
O 0.362 0.292 0.604
O 0.498 0.008 0.813
O 0.531 0.460 0.805
O 0.535 0.474 0.327
O 0.557 0.935 0.342
O 0.674 0.172 0.102
O 0.708 0.641 0.116
O 0.834 0.859 0.593
O 0.875 0.264 0.604
O 0.985 0.996 0.302

# 3
# MgMn4O7F
Calculated PXRD pattern, Cu Kα, 1.54184 Å. Input: a DFT-relaxed cell (GGA+U, the Materials Project).
Intensities are scaled so that the largest is 100.

Principal peaks in the range 2θ = 10–90°, sorted by position:
Position (°2θ)	I/Imax
15.15	56
25.46	100
29.90	76
31.23	50
40.92	47
47.25	71

a = 5.033 Å, b = 5.083 Å, c = 5.937 Å
α = 83.84°, β = 81.09°, γ = 78.99°
Fractional positions:
Mg 0.000 0.000 0.000
Mn 0.449 0.446 0.755
Mn 0.459 0.968 0.286
Mn 0.937 0.935 0.546
Mn 0.978 0.456 0.282
O 0.171 0.755 0.757
O 0.174 0.769 0.283
O 0.180 0.203 0.491
O 0.238 0.275 0.035
O 0.708 0.655 0.524
O 0.722 0.133 0.782
O 0.750 0.152 0.302
F 0.731 0.699 0.079